For Ac2Ge2Ir, DFT lattice parameters and positions (PBE) gives the computed powder X-ray diffraction pattern in this record (λ = 1.5418 Å (Cu Kα)).
Lines closer than 0.1° are merged.

Peak list (10 most intense, 10 to 90 degrees two-theta, by angle)
| d/Å | 2θ/deg | intensity | h k l |
| --- | --- | --- | --- |
| 3.761 | 23.7 | 21 | 2 0 -3 |
| 2.946 | 30.3 | 100 | 1 1 2 |
| 2.926 | 30.6 | 44 | 4 0 -2 |
| 2.905 | 30.8 | 90 | 3 1 -1 |
| 2.584 | 34.7 | 26 | 0 0 4 |
| 2.333 | 38.6 | 43 | 3 1 -4 |
| 2.300 | 39.2 | 28 | 4 0 1 |
| 2.194 | 41.1 | 41 | 0 2 0 |
| 2.029 | 44.7 | 29 | 3 1 -5 |
| 1.564 | 59.0 | 27 | 7 1 -3 |

Crystal structure
```
data_Ac2Ge2Ir
_cell_length_a 11.724
_cell_length_b 4.389
_cell_length_c 11.583
_cell_angle_alpha 90.00
_cell_angle_beta 116.85
_cell_angle_gamma 90.00
_space_group_name_H-M_alt 'C 1 2/m 1'
_space_group_IT_number 12
loop_
_space_group_symop_operation_xyz
'x,y,z'
'-x,-y,-z'
'-x,y,-z'
'x,-y,z'
'x+1/2,y+1/2,z'
'-x+1/2,-y+1/2,-z'
'-x+1/2,y+1/2,-z'
'x+1/2,-y+1/2,z'
loop_
_atom_site_label
_atom_site_type_symbol
_atom_site_fract_x
_atom_site_fract_y
_atom_site_fract_z
_atom_site_occupancy
Ac1 Ac 0.100 0.000 0.392 1
Ac2 Ac 0.210 0.500 0.141 1
Ge1 Ge 0.040 0.000 0.914 1
Ge2 Ge 0.112 0.500 0.617 1
Ir1 Ir 0.053 0.500 0.806 1
```

***

For PuMg2, DFT lattice parameters and positions (PBE) gives the computed powder X-ray diffraction pattern in this record (λ = 1.5418 Å (Cu Kα)).
Lines closer than 0.1° are merged.

Peak list (10 most intense, 10 to 90 degrees two-theta, by angle)
| d/Å | 2θ/deg | intensity | h k l |
| --- | --- | --- | --- |
| 5.062 | 17.5 | 100 | 0 1 1 |
| 4.852 | 18.3 | 93 | 0 2 0 |
| 3.622 | 24.6 | 95 | 1 1 1 |
| 2.840 | 31.5 | 45 | 0 3 1 |
| 2.592 | 34.6 | 38 | 2 0 0 |
| 2.575 | 34.8 | 73 | 1 0 2 |
| 2.491 | 36.1 | 71 | 1 3 1 |
| 2.286 | 39.4 | 28 | 2 2 0 |
| 2.274 | 39.6 | 56 | 1 2 2 |
| 1.914 | 47.5 | 29 | 2 3 1 |

Crystal structure
```
data_PuMg2
_cell_length_a 5.184
_cell_length_b 9.705
_cell_length_c 5.933
_cell_angle_alpha 90.00
_cell_angle_beta 90.00
_cell_angle_gamma 90.00
_space_group_name_H-M_alt 'P m m n'
_space_group_IT_number 59
loop_
_space_group_symop_operation_xyz
'x,y,z'
'-x,-y,-z'
'-x+1/2,-y+1/2,z'
'x+1/2,y+1/2,-z'
'x+1/2,-y,-z'
'-x+1/2,y,z'
'-x,y+1/2,-z'
'x,-y+1/2,z'
loop_
_atom_site_label
_atom_site_type_symbol
_atom_site_fract_x
_atom_site_fract_y
_atom_site_fract_z
_atom_site_occupancy
Pu1 Pu 0.250 0.250 0.122 1
Pu2 Pu 0.250 0.750 0.623 1
Mg1 Mg 0.250 0.084 0.611 1
Mg2 Mg 0.250 0.584 0.112 1
```

***

For Cu2Ag3, DFT lattice parameters and positions (PBE) gives the computed powder X-ray diffraction pattern in this record (λ = 1.5418 Å (Cu Kα)).
Lines closer than 0.1° are merged.

Peak list (10 most intense, 10 to 90 degrees two-theta, by angle)
| d/Å | 2θ/deg | intensity | h k l |
| --- | --- | --- | --- |
| 2.446 | 36.7 | 15 | 1 0 4 |
| 2.283 | 39.5 | 100 | 1 0 5 |
| 2.121 | 42.6 | 14 | 0 0 9 |
| 2.014 | 45.0 | 42 | 1 1 0 |
| 1.909 | 47.6 | 7 | 0 0 10 |
| 1.460 | 63.7 | 8 | 1 1 9 |
| 1.424 | 65.5 | 13 | 2 0 0 |
| 1.385 | 67.6 | 9 | 1 1 10 |
| 1.230 | 77.6 | 9 | 1 0 14 |
| 1.208 | 79.3 | 23 | 2 1 5 |

Crystal structure
```
data_Cu2Ag3
_cell_length_a 2.848
_cell_length_b 2.848
_cell_length_c 19.085
_cell_angle_alpha 90.00
_cell_angle_beta 90.00
_cell_angle_gamma 90.00
_space_group_name_H-M_alt 'P 4/n m m'
_space_group_IT_number 129
loop_
_space_group_symop_operation_xyz
'x,y,z'
'-x,-y,-z'
'-y+1/2,x,z'
'y+1/2,-x,-z'
'-x+1/2,-y+1/2,z'
'x+1/2,y+1/2,-z'
'y,-x+1/2,z'
'-y,x+1/2,-z'
'x+1/2,-y,-z'
'-x+1/2,y,z'
'-y,-x,-z'
'y,x,z'
'-x,y+1/2,-z'
'x,-y+1/2,z'
'y+1/2,x+1/2,-z'
'-y+1/2,-x+1/2,z'
loop_
_atom_site_label
_atom_site_type_symbol
_atom_site_fract_x
_atom_site_fract_y
_atom_site_fract_z
_atom_site_occupancy
Cu1 Cu 0.250 0.250 0.039 1
Cu2 Cu 0.250 0.250 0.233 1
Ag1 Ag 0.250 0.250 0.443 1
Ag2 Ag 0.250 0.250 0.670 1
Ag3 Ag 0.250 0.250 0.864 1
```

***

For Co2PdPt4Se12, DFT lattice parameters and positions (PBE) gives the computed powder X-ray diffraction pattern in this record (λ = 1.5418 Å (Cu Kα)).
Lines closer than 0.1° are merged.

Peak list (10 most intense, 10 to 90 degrees two-theta, by angle)
| d/Å | 2θ/deg | intensity | h k l |
| --- | --- | --- | --- |
| 5.864 | 15.1 | 21 | 2 0 -1 |
| 5.663 | 15.6 | 51 | 2 0 1 |
| 4.895 | 18.1 | 35 | 2 0 2 |
| 2.962 | 30.2 | 25 | 0 0 6 |
| 2.723 | 32.9 | 100 | 3 1 -1 |
| 2.537 | 35.4 | 39 | 0 0 7 |
| 2.050 | 44.2 | 23 | 2 0 8 |
| 2.012 | 45.1 | 27 | 5 1 1 |
| 1.899 | 47.9 | 35 | 3 1 -7 |
| 1.855 | 49.1 | 25 | 0 2 0 |

Crystal structure
```
data_Co2PdPt4Se12
_cell_length_a 12.199
_cell_length_b 3.711
_cell_length_c 17.803
_cell_angle_alpha 90.00
_cell_angle_beta 93.27
_cell_angle_gamma 90.00
_space_group_name_H-M_alt 'C 1 2/m 1'
_space_group_IT_number 12
loop_
_space_group_symop_operation_xyz
'x,y,z'
'-x,-y,-z'
'-x,y,-z'
'x,-y,z'
'x+1/2,y+1/2,z'
'-x+1/2,-y+1/2,-z'
'-x+1/2,y+1/2,-z'
'x+1/2,-y+1/2,z'
loop_
_atom_site_label
_atom_site_type_symbol
_atom_site_fract_x
_atom_site_fract_y
_atom_site_fract_z
_atom_site_occupancy
Co1 Co 0.056 0.000 0.229 1
Pd1 Pd 0.000 0.000 0.500 1
Pt1 Pt 0.043 0.500 0.622 1
Pt2 Pt 0.182 0.500 0.079 1
Se1 Se 0.046 0.000 0.095 1
Se2 Se 0.065 0.500 0.762 1
Se3 Se 0.096 0.000 0.367 1
Se4 Se 0.167 0.000 0.588 1
Se5 Se 0.179 0.500 0.935 1
Se6 Se 0.184 0.500 0.220 1
```